Simulated XRD peak list
Compound: NpBe3H9
Radiation: a wavelength of 1.5418 Å
Structure: the PBE geometry in Alexandria
Intensities are scaled so that the largest is 1000.

Cell and atoms:
Unit cell a=6.268 b=6.268 c=6.582 alpha=90.00 beta=90.00 gamma=106.58
Fractional coordinates of all 26 atoms:
1 Np 0.158 0.158 0.000
2 Np 0.842 0.842 0.500
3 Be 0.244 0.244 0.500
4 Be 0.309 0.653 0.557
5 Be 0.347 0.691 0.943
6 Be 0.653 0.309 0.443
7 Be 0.691 0.347 0.057
8 Be 0.756 0.756 0.000
9 H 0.086 0.142 0.658
10 H 0.142 0.086 0.342
11 H 0.148 0.766 0.570
12 H 0.211 0.513 0.056
13 H 0.222 0.453 0.437
14 H 0.234 0.852 0.930
15 H 0.402 0.598 0.750
16 H 0.453 0.222 0.563
17 H 0.487 0.789 0.444
18 H 0.513 0.211 0.944
19 H 0.547 0.778 0.063
20 H 0.598 0.402 0.250
21 H 0.766 0.148 0.430
22 H 0.778 0.547 0.937
23 H 0.789 0.487 0.556
24 H 0.852 0.234 0.070
25 H 0.858 0.914 0.842
26 H 0.914 0.858 0.158

Main lines, sorted by position (15° ≤ 2θ ≤ 90°):
2theta	d [Å]	I (rel.)
17.65	5.025	530
20.01	4.437	1000
27.09	3.291	231
27.39	3.256	323
30.98	2.886	153
32.28	2.773	322
32.52	2.753	238
32.77	2.733	389
37.09	2.424	174
43.93	2.061	145
45.61	1.989	161
46.53	1.952	181